No. 1
This entry pairs a crystal structure of Zn2FeS3 with its calculated powder X-ray diffraction pattern. Radiation: Cu Kα, 1.54184 Å. Structure: a crystal structure in the Materials Project, relaxed with GGA-PBE.
Kinematic intensities with the Lorentz-polarization factor, no thermal factor.

Main lines, in order of falling intensity (2θ from 10° to 90°):
30.4°, rel. 100.0
26.9°, rel. 95.5
51.5°, rel. 74.7
47.5°, rel. 72.9
28.3°, rel. 60.2
56.2°, rel. 47.3
39.4°, rel. 36.2
72.6°, rel. 25.0
81.7°, rel. 17.5
57.4°, rel. 15.6

Crystal structure
Cell: 6.6348 6.6348 18.9193 Å, 90.00 90.00 120.00°
Space group R3 (No. 146, hexagonal axes)
Asymmetric unit:
Zn (0.0000, 0.0000, 0.0000)
Zn (0.0004, 0.6665, 0.5003)
Fe (0.0000, 0.0000, 0.3338)
Fe (0.0000, 0.0000, 0.6672)
S (0.0000, 0.0000, 0.1248)
S (0.0000, 0.0000, 0.4570)
S (0.0000, 0.0000, 0.7901)
S (0.0000, 0.6637, 0.9588)


No. 2
This entry pairs a crystal structure of K2PtO6 with its calculated powder X-ray diffraction pattern. Radiation: Cu Kα, 1.54184 Å. Structure: a crystal structure in the Materials Project, relaxed with GGA-PBE.
Kinematic intensities with the Lorentz-polarization factor, no thermal factor.

Main lines, in order of falling intensity (2θ from 10° to 90°):
17.1°, rel. 100.0
34.6°, rel. 50.3
27.3°, rel. 48.9
21.0°, rel. 31.3
20.8°, rel. 27.6
32.2°, rel. 25.0
42.7°, rel. 23.7
51.4°, rel. 16.0
32.4°, rel. 15.2
53.1°, rel. 14.3

Crystal structure
Cell: 6.5301 6.5301 12.7855 Å, 90.00 90.00 120.00°
Space group R-3 (No. 148, hexagonal axes)
Asymmetric unit:
K (0.0000, 0.0000, 0.2202)
Pt (0.0000, 0.0000, 0.5000)
O (0.0659, 0.4759, 0.2521)


No. 3
This entry pairs a crystal structure of ZrU3S6 with its calculated powder X-ray diffraction pattern. Radiation: Cu Kα, 1.54184 Å. Structure: a crystal structure in the Materials Project, relaxed with GGA-PBE.
Kinematic intensities with the Lorentz-polarization factor, no thermal factor.

Main lines, in order of falling intensity (2θ from 10° to 90°):
30.8°, rel. 100.0
24.1°, rel. 83.9
26.9°, rel. 83.4
25.5°, rel. 43.7
27.1°, rel. 43.5
36.4°, rel. 33.2
43.4°, rel. 30.5
43.1°, rel. 30.4
12.0°, rel. 28.6
50.8°, rel. 26.8

Crystal structure
Cell: 3.699 10.506 10.391 Å, 90.00 90.00 90.00°
Space group Pmc2_1 (No. 26)
Asymmetric unit:
Zr (0.000, 0.223, 0.000)
U (0.000, 0.436, 0.319)
U (0.500, 0.071, 0.293)
U (0.500, 0.258, 0.618)
S (0.000, 0.121, 0.759)
S (0.000, 0.196, 0.431)
S (0.000, 0.447, 0.585)
S (0.500, 0.044, 0.032)
S (0.500, 0.304, 0.171)
S (0.500, 0.372, 0.866)


Please write out number 3 again, unchanged.
This entry pairs a crystal structure of ZrU3S6 with its calculated powder X-ray diffraction pattern. Radiation: Cu Kα, 1.54184 Å. Structure: a crystal structure in the Materials Project, relaxed with GGA-PBE.
Kinematic intensities with the Lorentz-polarization factor, no thermal factor.

Main lines, in order of falling intensity (2θ from 10° to 90°):
30.8°, rel. 100.0
24.1°, rel. 83.9
26.9°, rel. 83.4
25.5°, rel. 43.7
27.1°, rel. 43.5
36.4°, rel. 33.2
43.4°, rel. 30.5
43.1°, rel. 30.4
12.0°, rel. 28.6
50.8°, rel. 26.8

Crystal structure
Cell: 3.699 10.506 10.391 Å, 90.00 90.00 90.00°
Space group Pmc2_1 (No. 26)
Asymmetric unit:
Zr (0.000, 0.223, 0.000)
U (0.000, 0.436, 0.319)
U (0.500, 0.071, 0.293)
U (0.500, 0.258, 0.618)
S (0.000, 0.121, 0.759)
S (0.000, 0.196, 0.431)
S (0.000, 0.447, 0.585)
S (0.500, 0.044, 0.032)
S (0.500, 0.304, 0.171)
S (0.500, 0.372, 0.866)


> What is the formula in the first record?

Zn2FeS3